The following is a calculated powder XRD pattern of Fe3O4F2. It was derived from DFT lattice parameters and positions (PBE+U), using a wavelength of 1.5418 Å.
Neutral-atom scattering factors, no anomalous dispersion.

Structure:
```
data_Fe3O4F2
_chemical_formula_sum 'Fe6 O8 F4'
_space_group_name_H-M_alt 'P 1 21 1'
_space_group_IT_number 4
_space_group_name_Hall 'P 2yb'
_cell_length_a 5.5556
_cell_length_b 4.6513
_cell_length_c 7.6582
_cell_angle_alpha 90.00
_cell_angle_beta 94.60
_cell_angle_gamma 90.00
loop_
_atom_site_label
_atom_site_type_symbol
_atom_site_fract_x
_atom_site_fract_y
_atom_site_fract_z
_atom_site_occupancy
Fe1 Fe 0.0710 0.0000 0.3412 1
Fe2 Fe 0.2649 0.4544 0.0008 1
Fe3 Fe 0.4029 0.9578 0.6834 1
O1 O 0.1219 0.1633 0.5739 1
O2 O 0.2164 0.6545 0.7819 1
O3 O 0.2896 0.2791 0.2313 1
O4 O 0.4610 0.1618 0.9006 1
F1 F 0.0427 0.7676 0.0980 1
F2 F 0.3815 0.7722 0.4394 1
```

The 10 most intense peaks (10 to 80 degrees two-theta), sorted by position:
d [Å], I (rel.), hkl
3.293, 100.0, 1 1 -1
2.540, 52.5, 1 1 2
2.230, 16.0, 0 1 3
2.083, 8.0, 2 1 -2
1.718, 28.4, 0 2 3
1.715, 29.3, 2 2 1
1.647, 15.8, 2 2 -2
1.516, 8.5, 2 0 4
1.381, 15.1, 4 0 -1
1.376, 5.8, 3 1 3